Diffraction record for Zr2Co2O5. The powder diffraction line list is computed, not measured: it uses DFT lattice parameters and positions (PBE+U) and CuKα.
Lines closer than 0.1° are merged.

Structure:
a = 3.740 Å, b = 3.740 Å, c = 8.415 Å
α = 90.00°, β = 90.00°, γ = 90.00°
Space group P4/mmm (No. 123)
Inequivalent atoms, fractional coordinates:
Zr1 0.000 0.000 0.246 (multiplicity 2)
Co1 0.500 0.500 0.000 (multiplicity 1)
Co2 0.500 0.500 0.500 (multiplicity 1)
O1 0.000 0.000 0.000 (multiplicity 1)
O2 0.000 0.500 0.345 (multiplicity 4)

Top 12 peaks for 10 to 80 degrees two-theta, in order of falling intensity:
2θ (°)  I_rel  (hkl)
32.02  100.0  1 0 2
33.90  33.6  1 1 0
59.47  32.7  2 1 2
55.84  29.8  1 1 4
48.69  25.5  2 0 0
66.95  10.2  2 0 4
42.99  9.8  0 0 4
71.89  8.8  1 0 6
23.79  8.0  1 0 0
71.33  7.2  2 2 0
21.11  4.2  0 0 2
35.58  2.9  1 1 1